# 1
TmMn2Si2: simulated powder diffraction line list (CuKα), based on a DFT-relaxed cell (GGA-PBE, the Materials Project).

Top 10 peaks for 2θ = 5–70°, by angle:
d/Å	intensity
3.610	55.4
2.726	11.0
2.571	18.6
2.562	60.8
2.409	100.0
1.928	35.4
1.815	24.3
1.701	14.1
1.541	40.5
1.451	17.1

Cell: 3.856 3.856 10.283 Å, 90.00 90.00 90.00°
Space group I4/mmm (No. 139)
Unique sites:
1 Tm 0.000 0.000 0.000
2 Mn 0.000 0.500 0.250
3 Si 0.000 0.000 0.381

# 2
TmMnSi2: simulated powder diffraction line list (CuKα), based on a DFT-relaxed cell (GGA-PBE, the Materials Project).

Top 10 peaks for 2θ = 5–70°, by angle:
d/Å	intensity
4.000	30.9
3.705	45.7
2.898	75.5
2.868	24.8
2.569	100.0
2.501	72.5
2.221	35.1
2.101	33.1
2.068	31.6
1.608	50.7

Cell: 4.137 15.698 4.203 Å, 90.00 90.00 90.00°
Space group Cmcm (No. 63)
Unique sites:
1 Tm 0.000 0.105 0.250
2 Mn 0.000 0.312 0.250
3 Si 0.000 0.253 0.750
4 Si 0.000 0.457 0.250

# 3
U2Mn3Si: simulated powder diffraction line list (CuKα), based on a DFT-relaxed cell (GGA-PBE, the Materials Project).

Top 10 peaks for 2θ = 5–70°, by angle:
d/Å	intensity
4.465	36.0
3.871	33.0
2.928	15.3
2.578	58.4
2.237	100.0
2.146	86.6
1.689	17.1
1.488	11.5
1.413	39.0
1.390	11.9

Cell: 5.1559 5.1559 7.7578 Å, 90.00 90.00 120.00°
Space group P6_3/mmc (No. 194)
Unique sites:
1 U 0.3333 0.6667 0.0748
2 Mn 0.1690 0.3380 0.7500
3 Si 0.0000 0.0000 0.0000

# 4
MnV2Si6: simulated powder diffraction line list (CuKα), based on a DFT-relaxed cell (GGA-PBE, the Materials Project).

Top 10 peaks for 2θ = 5–70°, by angle:
d/Å	intensity
3.328	5.5
3.307	11.1
2.457	4.5
2.249	10.4
2.230	4.0
2.119	100.0
2.104	31.1
1.836	38.6
1.825	20.8
1.542	5.9

Cell: 4.460 7.812 6.356 Å, 90.00 90.00 90.00°
Space group C222 (No. 21)
Unique sites:
1 Mn 0.000 0.000 0.000
2 V 0.250 0.250 0.670
3 Si 0.000 0.335 0.000
4 Si 0.247 0.418 0.332

# 5
Y2Mn3Si5: simulated powder diffraction line list (CuKα), based on a DFT-relaxed cell (GGA-PBE, the Materials Project).

Top 10 peaks for 2θ = 5–70°, by angle:
d/Å	intensity
2.846	100.0
2.720	26.7
2.559	50.8
2.359	84.4
2.317	69.8
2.199	79.5
2.166	20.6
2.110	20.4
1.836	27.3
1.453	21.2

Cell: 10.558 10.558 5.441 Å, 90.00 90.00 90.00°
Space group P4/mnc (No. 128)
Unique sites:
1 Y 0.075 0.236 0.000
2 Mn 0.000 0.500 0.250
3 Mn 0.123 0.853 0.500
4 Si 0.000 0.000 0.265
5 Si 0.023 0.316 0.500
6 Si 0.175 0.675 0.250

# 6
Y2MnSi2: simulated powder diffraction line list (CuKα), based on a DFT-relaxed cell (GGA-PBE, the Materials Project).

Top 10 peaks for 2θ = 5–70°, by angle:
d/Å	intensity
13.764	32.6
4.588	27.8
3.441	21.2
2.891	100.0
2.753	24.3
2.446	21.9
2.214	24.3
2.045	35.6
1.994	36.6
1.641	19.2

Cell: 2.891 2.891 13.764 Å, 90.00 90.00 90.00°
Space group P4/mmm (No. 123)
Unique sites:
1 Y 0.000 0.000 0.124
2 Mn 0.000 0.000 0.500
3 Si 0.000 0.000 0.332

# 7
YMn2Si2: simulated powder diffraction line list (CuKα), based on a DFT-relaxed cell (GGA-PBE, the Materials Project).

Top 10 peaks for 2θ = 5–70°, by angle:
d/Å	intensity
3.647	16.3
2.582	60.5
2.432	100.0
1.949	39.7
1.885	6.1
1.826	18.1
1.719	3.9
1.556	29.8
1.461	16.1
1.378	12.0

Cell: 3.898 3.898 10.333 Å, 90.00 90.00 90.00°
Space group I4/mmm (No. 139)
Unique sites:
1 Y 0.000 0.000 0.000
2 Mn 0.000 0.500 0.250
3 Si 0.000 0.000 0.379

# 8
SmMn3: simulated powder diffraction line list (CuKα), based on a DFT-relaxed cell (GGA-PBE, the Materials Project).

Top 10 peaks for 2θ = 5–70°, by angle:
d/Å	intensity
3.462	38.9
3.011	15.7
2.608	24.6
2.314	25.0
2.272	100.0
1.971	8.3
1.835	7.9
1.731	13.8
1.506	15.0
1.381	8.3

Cell: 6.0229 6.0229 4.6289 Å, 90.00 90.00 120.00°
Space group P6_3/mmc (No. 194)
Unique sites:
1 Sm 0.3333 0.6667 0.2500
2 Mn 0.1465 0.2931 0.7500